For AlPbO3, the PBE geometry in the Materials Project gives the theoretical PXRD pattern in this record (a wavelength of 1.5418 Å).

Largest 6 diffraction maxima, sorted by position, 2θ from 15° to 90°:
d 3.834, I 64.4
d 2.711, I 100.0
d 2.214, I 41.9
d 1.917, I 30.6
d 1.715, I 31.0
d 1.565, I 40.4

Atomic structure:
```
AlPbO3
1.0
3.8345 0.0000 0.0000
0.0000 3.8345 0.0000
0.0000 0.0000 3.8345
Al Pb O
1 1 3
direct
0.0000 0.0000 0.0000
0.5000 0.5000 0.5000
0.0000 0.0000 0.5000
0.0000 0.5000 0.0000
0.5000 0.0000 0.0000
```

***

For AlPb3SO11, the PBE geometry in the Materials Project gives the theoretical PXRD pattern in this record (a wavelength of 1.5418 Å).

Largest 6 diffraction maxima, sorted by position, 2θ from 15° to 90°:
d 5.841, I 67.3
d 4.698, I 100.0
d 3.447, I 42.4
d 3.129, I 91.7
d 2.920, I 70.4
d 2.373, I 61.7

Atomic structure:
```
AlPb3SO11
1.0
3.7054 2.1393 9.3968
-3.7054 2.1393 9.3968
0.0000 -4.2786 9.3968
Al Pb S O
2 6 2 22
direct
0.0000 0.0000 0.0000
0.5000 0.5000 0.5000
0.2145 0.3073 0.7171
0.2171 0.8073 0.7145
0.3073 0.7171 0.2145
0.7145 0.2171 0.8073
0.7171 0.2145 0.3073
0.8073 0.7145 0.2171
0.1852 0.1852 0.1852
0.6852 0.6852 0.6852
0.0608 0.1081 0.7160
0.0785 0.4201 0.1037
0.1037 0.0785 0.4201
0.1081 0.7160 0.0608
0.1311 0.1311 0.1311
0.2160 0.6081 0.5608
0.2676 0.9706 0.9001
0.3753 0.3753 0.3753
0.4001 0.4706 0.7676
0.4201 0.1037 0.0785
0.4706 0.7676 0.4001
0.5608 0.2160 0.6081
0.5785 0.6037 0.9201
0.6037 0.9201 0.5785
0.6081 0.5608 0.2160
0.6311 0.6311 0.6311
0.7160 0.0608 0.1081
0.7676 0.4001 0.4706
0.8753 0.8753 0.8753
0.9001 0.2676 0.9706
0.9201 0.5785 0.6037
0.9706 0.9001 0.2676
```

***

For Al2Si2Pb2O9, the PBE geometry in the Materials Project gives the theoretical PXRD pattern in this record (a wavelength of 1.5418 Å).

Largest 6 diffraction maxima, sorted by position, 2θ from 15° to 90°:
d 5.423, I 70.5
d 3.649, I 64.3
d 3.209, I 66.7
d 3.146, I 58.9
d 2.869, I 100.0
d 2.690, I 81.6

Atomic structure:
```
Al2Si2Pb2O9
1.0
6.9717 0.0000 0.0000
0.0000 10.8456 0.0000
0.0000 0.0000 9.8672
Al Si Pb O
8 8 8 36
direct
0.0000 0.0000 0.0000
0.0000 0.0000 0.5000
0.0000 0.1464 0.2500
0.0000 0.8536 0.7500
0.5000 0.3536 0.7500
0.5000 0.5000 0.0000
0.5000 0.5000 0.5000
0.5000 0.6464 0.2500
0.2170 0.4117 0.2487
0.2170 0.5883 0.7487
0.2830 0.0883 0.7487
0.2830 0.9117 0.2487
0.7170 0.0883 0.7513
0.7170 0.9117 0.2513
0.7830 0.4117 0.2513
0.7830 0.5883 0.7513
0.0497 0.3038 0.5490
0.0497 0.6962 0.0490
0.4503 0.1962 0.0490
0.4503 0.8038 0.5490
0.5497 0.1962 0.4510
0.5497 0.8038 0.9510
0.9503 0.3038 0.9510
0.9503 0.6962 0.4510
0.0000 0.4774 0.2500
0.0000 0.5226 0.7500
0.1091 0.1407 0.0778
0.1091 0.8593 0.5778
0.1525 0.0072 0.3368
0.1525 0.9928 0.8368
0.1848 0.2740 0.3162
0.1848 0.7260 0.8162
0.1925 0.1057 0.5963
0.1925 0.8943 0.0963
0.3075 0.3943 0.0963
0.3075 0.6057 0.5963
0.3152 0.2260 0.8162
0.3152 0.7740 0.3162
0.3475 0.4928 0.8368
0.3475 0.5072 0.3368
0.3909 0.3593 0.5778
0.3909 0.6407 0.0778
0.5000 0.0226 0.7500
0.5000 0.9774 0.2500
0.6091 0.3593 0.9222
0.6091 0.6407 0.4222
0.6525 0.4928 0.6632
0.6525 0.5072 0.1632
0.6848 0.2260 0.6838
0.6848 0.7740 0.1838
0.6925 0.3943 0.4037
0.6925 0.6057 0.9037
0.8075 0.1057 0.9037
0.8075 0.8943 0.4037
0.8152 0.2740 0.1838
0.8152 0.7260 0.6838
0.8475 0.0072 0.1632
0.8475 0.9928 0.6632
0.8909 0.1407 0.4222
0.8909 0.8593 0.9222
```